(1)
# CaSi
Simulated powder X-ray diffraction pattern, Cu Kα (λ = 1.5418 Å). Input: a DFT-relaxed cell (PBE, Alexandria).

Structural model:
Lattice parameters (Å, degrees): 6.931 6.931 6.405 90.00 90.00 141.71
Fractional coordinates of all 8 atoms:
1 Ca 0.048 0.952 0.750
2 Ca 0.225 0.775 0.250
3 Ca 0.775 0.225 0.750
4 Ca 0.952 0.048 0.250
5 Si 0.409 0.591 0.562
6 Si 0.409 0.591 0.938
7 Si 0.591 0.409 0.062
8 Si 0.591 0.409 0.438

Largest 12 diffraction maxima, in order of falling intensity, 2θ from 10° to 80°:
| Position (°2θ) | d/Å | I_rel |
| --- | --- | --- |
| 31.7 | 2.826 | 100 |
| 35.0 | 2.567 | 58 |
| 39.7 | 2.272 | 53 |
| 39.4 | 2.289 | 18 |
| 51.1 | 1.788 | 15 |
| 30.7 | 2.915 | 15 |
| 66.5 | 1.405 | 13 |
| 60.9 | 1.522 | 12 |
| 47.6 | 1.912 | 11 |
| 57.1 | 1.613 | 11 |
| 41.4 | 2.182 | 11 |
| 13.5 | 6.547 | 10 |


(2)
# AcCu2BiSe4
Simulated powder X-ray diffraction pattern, Cu Kα (λ = 1.5418 Å). Input: a DFT-relaxed cell (PBE, Alexandria).

Structural model:
Lattice parameters (Å, degrees): 6.506 6.506 6.506 114.82 110.21 103.58
Fractional coordinates of all 8 atoms:
1 Ac 0.000 0.000 0.000
2 Cu 0.337 0.837 0.500
3 Cu 0.663 0.163 0.500
4 Bi 0.500 0.500 0.000
5 Se 0.090 0.040 0.543
6 Se 0.497 0.546 0.457
7 Se 0.503 0.960 0.050
8 Se 0.910 0.454 0.950

Largest 12 diffraction maxima, in order of falling intensity, 2θ from 10° to 80°:
| Position (°2θ) | d/Å | I_rel |
| --- | --- | --- |
| 28.2 | 3.160 | 100 |
| 35.2 | 2.551 | 73 |
| 33.9 | 2.643 | 47 |
| 17.4 | 5.102 | 47 |
| 32.8 | 2.732 | 44 |
| 48.6 | 1.872 | 28 |
| 44.8 | 2.022 | 27 |
| 46.6 | 1.950 | 25 |
| 62.1 | 1.494 | 16 |
| 63.0 | 1.475 | 14 |
| 52.2 | 1.752 | 13 |
| 59.0 | 1.567 | 13 |


(3)
# TaZn2Fe2
Simulated powder X-ray diffraction pattern, Cu Kα (λ = 1.5418 Å). Input: a DFT-relaxed cell (PBE, Alexandria).

Structural model:
Lattice parameters (Å, degrees): 7.121 7.121 2.712 90.00 90.00 90.00
Fractional coordinates of all 10 atoms:
1 Ta 0.000 0.000 0.000
2 Ta 0.500 0.500 0.000
3 Zn 0.121 0.379 0.000
4 Zn 0.379 0.879 0.000
5 Zn 0.621 0.121 0.000
6 Zn 0.879 0.621 0.000
7 Fe 0.178 0.678 0.500
8 Fe 0.322 0.178 0.500
9 Fe 0.678 0.822 0.500
10 Fe 0.822 0.322 0.500

Largest 12 diffraction maxima, in order of falling intensity, 2θ from 10° to 80°:
| Position (°2θ) | d/Å | I_rel |
| --- | --- | --- |
| 40.0 | 2.252 | 100 |
| 41.9 | 2.157 | 66 |
| 43.9 | 2.065 | 57 |
| 52.8 | 1.732 | 40 |
| 35.7 | 2.518 | 39 |
| 76.8 | 1.242 | 29 |
| 17.6 | 5.036 | 28 |
| 25.0 | 3.561 | 23 |
| 37.7 | 2.387 | 21 |
| 33.0 | 2.712 | 20 |
| 57.9 | 1.592 | 14 |
| 65.4 | 1.427 | 14 |


(4)
# LiNbTePdCl
Simulated powder X-ray diffraction pattern, Cu Kα (λ = 1.5418 Å). Input: a DFT-relaxed cell (PBE, Alexandria).

Structural model:
Lattice parameters (Å, degrees): 7.735 7.735 7.735 32.75 32.75 32.75
Fractional coordinates of all 5 atoms:
1 Li 0.000 0.000 0.000
2 Nb 0.436 0.436 0.436
3 Te 0.851 0.851 0.851
4 Pd 0.129 0.129 0.129
5 Cl 0.323 0.323 0.323

Largest 12 diffraction maxima, in order of falling intensity, 2θ from 10° to 80°:
| Position (°2θ) | d/Å | I_rel |
| --- | --- | --- |
| 12.1 | 7.313 | 100 |
| 41.4 | 2.181 | 40 |
| 28.7 | 3.111 | 39 |
| 37.3 | 2.412 | 37 |
| 43.3 | 2.090 | 26 |
| 48.0 | 1.897 | 16 |
| 24.9 | 3.571 | 14 |
| 56.9 | 1.618 | 11 |
| 72.8 | 1.299 | 10 |
| 31.2 | 2.863 | 9 |
| 51.2 | 1.786 | 8 |
| 24.3 | 3.657 | 7 |


(5)
# PaVPd
Simulated powder X-ray diffraction pattern, Cu Kα (λ = 1.5418 Å). Input: a DFT-relaxed cell (PBE, Alexandria).

Structural model:
Lattice parameters (Å, degrees): 6.605 6.605 6.605 40.94 40.94 40.94
Fractional coordinates of all 6 atoms:
1 Pa 0.102 0.102 0.102
2 Pa 0.898 0.898 0.898
3 V 0.436 0.436 0.436
4 V 0.564 0.564 0.564
5 Pd 0.294 0.294 0.294
6 Pd 0.706 0.706 0.706

Largest 12 diffraction maxima, in order of falling intensity, 2θ from 10° to 80°:
| Position (°2θ) | d/Å | I_rel |
| --- | --- | --- |
| 39.0 | 2.310 | 100 |
| 33.4 | 2.687 | 100 |
| 52.2 | 1.752 | 29 |
| 22.8 | 3.907 | 28 |
| 29.8 | 2.999 | 28 |
| 67.1 | 1.396 | 27 |
| 49.7 | 1.835 | 27 |
| 55.7 | 1.651 | 21 |
| 29.6 | 3.021 | 19 |
| 70.6 | 1.334 | 17 |
| 61.0 | 1.518 | 11 |
| 70.0 | 1.343 | 11 |


(6)
# TaNi7As2
Simulated powder X-ray diffraction pattern, Cu Kα (λ = 1.5418 Å). Input: a DFT-relaxed cell (PBE, Alexandria).

Structural model:
Lattice parameters (Å, degrees): 9.921 9.921 9.921 158.42 158.42 30.71
Fractional coordinates of all 10 atoms:
1 Ta 0.000 0.000 0.000
2 Ni 0.094 0.594 0.500
3 Ni 0.250 0.750 0.500
4 Ni 0.406 0.906 0.500
5 Ni 0.500 0.500 0.000
6 Ni 0.594 0.094 0.500
7 Ni 0.750 0.250 0.500
8 Ni 0.906 0.406 0.500
9 As 0.326 0.326 0.000
10 As 0.674 0.674 0.000

Largest 12 diffraction maxima, in order of falling intensity, 2θ from 10° to 80°:
| Position (°2θ) | d/Å | I_rel |
| --- | --- | --- |
| 44.7 | 2.028 | 100 |
| 27.8 | 3.210 | 45 |
| 49.0 | 1.858 | 41 |
| 39.1 | 2.303 | 16 |
| 79.2 | 1.210 | 14 |
| 71.9 | 1.313 | 12 |
| 57.3 | 1.608 | 12 |
| 35.4 | 2.533 | 12 |
| 57.8 | 1.594 | 9 |
| 49.4 | 1.845 | 9 |
| 18.5 | 4.783 | 8 |
| 72.2 | 1.309 | 6 |